Structure and computed X-ray diffraction stick pattern of GdY2Cd3Au3 (a DFT-relaxed cell (PBE, OQMD); Cu Kα (λ = 1.5418 Å)).
Kinematic intensities with the Lorentz-polarization factor, no thermal factor.

Structure:
a b c (Å): 3.929 7.806 7.806
angles (deg): 120.02 90.00 90.00
Element x y z (fractional)
Gd: 0.000 0.000 0.000
Y: 0.000 0.404 0.807
Y: 0.000 0.807 0.404
Cd: 0.500 0.141 0.404
Cd: 0.500 0.404 0.141
Cd: 0.500 0.665 0.665
Au: 0.000 0.404 0.404
Au: 0.500 0.070 0.736
Au: 0.500 0.736 0.070

Most intense lines, 10° ≤ 2θ ≤ 90°, by angle:
2θ = 22.79°, I 29
2θ = 26.23°, I 23
2θ = 32.33°, I 70
2θ = 35.02°, I 100
2θ = 35.12°, I 30
2θ = 40.01°, I 61
2θ = 42.19°, I 55
2θ = 46.21°, I 25
2θ = 46.52°, I 15
2θ = 62.75°, I 32
2θ = 64.61°, I 38
2θ = 74.19°, I 15